TiHg2P: calculated X-ray diffraction stick pattern (λ = 1.5418 Å (Cu Kα)), based on a crystal structure in Alexandria, relaxed with GGA-PBE.
Peak positions follow from Bragg's law for the DFT cell and can differ from measured ones.

Structure:
```
TiHg2P
1.0
4.7853 0.0000 0.0000
2.2446 5.2621 0.0000
1.9782 1.2248 6.7103
Ti Hg P
2 4 2
Direct
0.0000 0.0000 0.0000
0.3753 0.7819 0.3464
0.0370 0.4898 0.2600
0.1831 0.3926 0.6753
0.6051 0.5437 0.9494
0.7154 0.1001 0.4077
0.2003 0.8731 0.6761
0.4689 0.0507 0.0215
```

The 12 most intense peaks (5° ≤ 2θ ≤ 70°), most intense first:
| two_theta | intensity |
| --- | --- |
| 30.4 | 100 |
| 34.4 | 85 |
| 33.7 | 81 |
| 17.1 | 60 |
| 21.5 | 47 |
| 40.0 | 45 |
| 28.4 | 45 |
| 26.6 | 38 |
| 41.0 | 33 |
| 37.0 | 32 |
| 23.5 | 32 |
| 39.3 | 32 |